Starting from DFT lattice parameters and positions (PBE), the powder X-ray diffraction pattern of Sm12Er3In was computed for Cu Kα (λ = 1.5418 Å).
Kinematic intensities with the Lorentz-polarization factor, no thermal factor.

The 12 most intense peaks (2θ from 10° to 90°), sorted by position:
(1 1 4), 30.65°, rel. 100; (0 0 8), 35.22°, rel. 17; (2 0 0), 35.69°, rel. 33; (2 0 8), 51.01°, rel. 24; (2 2 0), 51.36°, rel. 12; (1 1 12), 60.37°, rel. 14; (3 1 4), 61.01°, rel. 28; (2 2 8), 63.81°, rel. 12; (3 1 12), 83.18°, rel. 11; (3 3 4), 83.74°, rel. 6; (4 0 8), 86.23°, rel. 5; (4 2 0), 86.51°, rel. 5

Crystal structure
Unit cell a=5.031 b=5.031 c=20.388 alpha=90.00 beta=90.00 gamma=90.00
Space group P4/mmm (No. 123)
Symmetry-distinct sites (fractional):
Sm (0.000, 0.000, 0.000) (multiplicity 1)
Sm (0.000, 0.000, 0.247) (multiplicity 2)
Sm (0.000, 0.000, 0.500) (multiplicity 1)
Sm (0.000, 0.500, 0.121) (multiplicity 4)
Sm (0.000, 0.500, 0.374) (multiplicity 4)
Er (0.500, 0.500, 0.249) (multiplicity 2)
Er (0.500, 0.500, 0.500) (multiplicity 1)
In (0.500, 0.500, 0.000) (multiplicity 1)



Starting from DFT lattice parameters and positions (PBE), the powder X-ray diffraction pattern of Tb6Sm2Er3In was computed for Cu Kα (λ = 1.5418 Å).
Kinematic intensities with the Lorentz-polarization factor, no thermal factor.

The 12 most intense peaks (2θ from 10° to 90°), sorted by position:
(1 3 1), 31.12°, rel. 100; (2 0 2), 36.09°, rel. 51; (1 3 5), 51.96°, rel. 36; (1 3 -7), 61.75°, rel. 7; (2 0 6), 61.82°, rel. 32; (4 0 0), 61.88°, rel. 4; (2 6 2), 64.92°, rel. 9; (2 6 -6), 76.56°, rel. 6; (1 3 9), 84.85°, rel. 9; (4 6 0), 84.98°, rel. 9; (0 6 8), 87.64°, rel. 11; (5 3 1), 87.75°, rel. 5

Crystal structure
Unit cell a=6.090 b=10.557 c=11.689 alpha=90.00 beta=100.02 gamma=90.00
Space group C2/m (No. 12)
Symmetry-distinct sites (fractional):
Tb (0.244, 0.000, 0.249) (multiplicity 4)
Tb (0.247, 0.164, 0.750) (multiplicity 8)
Sm (0.000, 0.334, 0.500) (multiplicity 4)
Er (0.000, 0.167, 0.000) (multiplicity 4)
Er (0.000, 0.500, 0.000) (multiplicity 2)
In (0.000, 0.000, 0.500) (multiplicity 2)